Entry 1:
For YEr3Sn2C, a cell relaxed with PBE gives the theoretical powder diffractogram in this record (copper Kα).

Structural model:
Lattice parameters (Å, degrees): 4.756 4.786 15.813 90.00 90.00 90.00
Space group Immm (No. 71)
Symmetry-distinct sites (fractional):
Y  0.000  0.000  0.000
Er  0.000  0.000  0.500
Er  0.000  0.500  0.158
Sn  0.000  0.500  0.359
C  0.000  0.500  0.000

Top 10 peaks for 2θ = 10–90°, in order of rising 2θ:
- d = 3.374 Å, I = 23, (1 1 0)
- d = 3.103 Å, I = 65, (1 1 2)
- d = 2.636 Å, I = 37, (0 0 6)
- d = 2.566 Å, I = 100, (1 1 4)
- d = 2.393 Å, I = 31, (0 2 0)
- d = 2.378 Å, I = 30, (2 0 0)
- d = 1.772 Å, I = 19, (0 2 6)
- d = 1.766 Å, I = 22, (2 0 6)
- d = 1.687 Å, I = 21, (2 2 0)
- d = 1.432 Å, I = 19, (1 1 10)


Entry 2:
For Dy2AgPd8, a cell relaxed with PBE gives the theoretical powder diffractogram in this record (copper Kα).

Structural model:
Lattice parameters (Å, degrees): 14.586 4.230 6.546 90.00 107.62 90.00
Space group C2/m (No. 12)
Symmetry-distinct sites (fractional):
Dy  0.216  0.000  0.166
Ag  0.000  0.500  0.500
Pd  0.035  0.000  0.223
Pd  0.092  0.500  0.945
Pd  0.142  0.000  0.682
Pd  0.171  0.500  0.400

Top 10 peaks for 2θ = 10–90°, in order of rising 2θ:
- d = 2.383 Å, I = 94, (5 1 -1)
- d = 2.372 Å, I = 100, (1 1 2)
- d = 2.115 Å, I = 37, (0 2 0)
- d = 2.084 Å, I = 29, (4 0 -3)
- d = 1.985 Å, I = 28, (6 0 1)
- d = 1.484 Å, I = 19, (4 2 -3)
- d = 1.447 Å, I = 20, (6 2 1)
- d = 1.267 Å, I = 12, (5 3 -1)
- d = 1.265 Å, I = 13, (1 3 2)
- d = 1.206 Å, I = 10, (7 1 3)


Entry 3:
For Tb4Pr5Sm, a cell relaxed with PBE gives the theoretical powder diffractogram in this record (copper Kα).

Structural model:
Lattice parameters (Å, degrees): 18.905 3.651 10.309 90.00 106.16 90.00
Space group C2/m (No. 12)
Symmetry-distinct sites (fractional):
Tb  0.101  0.000  0.296
Tb  0.200  0.500  0.100
Pr  0.000  0.500  0.500
Pr  0.100  0.000  0.804
Pr  0.200  0.500  0.600
Sm  0.000  0.500  0.000

Top 10 peaks for 2θ = 10–90°, in order of rising 2θ:
- d = 2.979 Å, I = 100, (6 0 -2)
- d = 2.961 Å, I = 33, (4 0 2)
- d = 2.576 Å, I = 67, (5 1 0)
- d = 1.825 Å, I = 24, (0 2 0)
- d = 1.817 Å, I = 24, (10 0 0)
- d = 1.556 Å, I = 24, (6 2 -2)
- d = 1.553 Å, I = 19, (4 2 2)
- d = 1.549 Å, I = 14, (9 1 2)
- d = 1.489 Å, I = 12, (12 0 -4)
- d = 1.184 Å, I = 12, (1 3 -2)


Entry 4:
For CsCeBr4, a cell relaxed with PBE gives the theoretical powder diffractogram in this record (copper Kα).

Structural model:
Lattice parameters (Å, degrees): 11.189 14.443 7.928 90.00 134.87 90.00
Space group C2/c (No. 15)
Symmetry-distinct sites (fractional):
Cs  0.000  0.125  0.250
Ce  0.000  0.375  0.750
Br  0.209  0.499  0.210
Br  0.248  0.250  0.790

Top 10 peaks for 2θ = 10–90°, in order of rising 2θ:
- d = 4.429 Å, I = 80, (2 2 -1)
- d = 2.809 Å, I = 27, (0 0 2)
- d = 2.797 Å, I = 26, (4 0 -2)
- d = 2.669 Å, I = 100, (2 4 0)
- d = 2.370 Å, I = 23, (2 2 -3)
- d = 1.982 Å, I = 17, (4 0 0)
- d = 1.736 Å, I = 12, (4 6 -3)
- d = 1.594 Å, I = 15, (2 4 2)
- d = 1.589 Å, I = 15, (6 4 -2)
- d = 1.519 Å, I = 12, (0 8 2)


Entry 5:
For BeAl2Sb, a cell relaxed with PBE gives the theoretical powder diffractogram in this record (copper Kα).

Structural model:
Lattice parameters (Å, degrees): 5.360 7.352 3.738 90.00 90.00 90.00
Space group Cmmm (No. 65)
Symmetry-distinct sites (fractional):
Be  0.000  0.000  0.000
Al  0.250  0.250  0.500
Sb  0.000  0.500  0.000

Top 10 peaks for 2θ = 10–90°, in order of rising 2θ:
- d = 4.331 Å, I = 100, (1 1 0)
- d = 2.830 Å, I = 69, (1 1 1)
- d = 2.621 Å, I = 70, (0 2 1)
- d = 2.229 Å, I = 18, (1 3 0)
- d = 2.178 Å, I = 40, (2 0 1)
- d = 2.166 Å, I = 40, (2 2 0)
- d = 1.914 Å, I = 22, (1 3 1)
- d = 1.716 Å, I = 15, (1 1 2)
- d = 1.415 Å, I = 20, (2 2 2)
- d = 1.405 Å, I = 19, (2 4 1)


Entry 6:
For RbTc3P3, a cell relaxed with PBE gives the theoretical powder diffractogram in this record (copper Kα).

Structural model:
Lattice parameters (Å, degrees): 6.5952 6.5952 25.7042 90.00 90.00 120.00
Space group R-3 (No. 148, hexagonal axes)
Symmetry-distinct sites (fractional):
Rb  0.0000  0.0000  0.1625
Tc  0.0119  0.3754  0.2973
P  0.0090  0.2918  0.7241

Top 10 peaks for 2θ = 10–90°, in order of rising 2θ:
- d = 8.568 Å, I = 100, (0 0 3)
- d = 4.276 Å, I = 11, (0 0 6)
- d = 3.078 Å, I = 76, (2 -1 3)
- d = 2.856 Å, I = 18, (0 0 9)
- d = 2.613 Å, I = 34, (1 1 6)
- d = 2.159 Å, I = 27, (1 1 9)
- d = 2.151 Å, I = 11, (2 1 1)
- d = 1.904 Å, I = 28, (3 0 0)
- d = 1.796 Å, I = 22, (1 1 12)
- d = 1.584 Å, I = 15, (0 3 9)


Entry 7:
For Ac2AlTlPd6, a cell relaxed with PBE gives the theoretical powder diffractogram in this record (copper Kα).

Structural model:
Lattice parameters (Å, degrees): 12.193 5.675 8.826 90.00 132.75 90.00
Space group C2/m (No. 12)
Symmetry-distinct sites (fractional):
Ac  0.248  0.000  0.277
Al  0.000  0.500  0.000
Tl  0.000  0.000  0.500
Pd  0.003  0.252  0.238
Pd  0.246  0.500  0.085

Top 10 peaks for 2θ = 10–90°, in order of rising 2θ:
- d = 3.320 Å, I = 79, (1 1 1)
- d = 3.212 Å, I = 67, (3 1 -1)
- d = 3.192 Å, I = 68, (3 1 -2)
- d = 2.840 Å, I = 39, (2 0 -3)
- d = 2.396 Å, I = 81, (2 2 0)
- d = 2.385 Å, I = 100, (2 2 -2)
- d = 2.309 Å, I = 66, (1 1 -3)
- d = 2.238 Å, I = 77, (4 0 0)
- d = 2.202 Å, I = 84, (4 0 -4)
- d = 1.606 Å, I = 36, (6 2 -2)


Entry 8:
For PmY3HoTh, a cell relaxed with PBE gives the theoretical powder diffractogram in this record (copper Kα).

Structural model:
Lattice parameters (Å, degrees): 8.002 5.082 10.135 90.00 108.74 90.00
Space group P2_1/m (No. 11)
Symmetry-distinct sites (fractional):
Pm  0.171  0.250  0.292
Y  0.170  0.750  0.544
Y  0.175  0.750  0.044
Y  0.176  0.250  0.793
Ho  0.500  0.250  0.628
Th  0.500  0.250  0.122

Top 10 peaks for 2θ = 10–90°, in order of rising 2θ:
- d = 7.578 Å, I = 24, (1 0 0)
- d = 2.930 Å, I = 100, (2 1 -2)
- d = 2.921 Å, I = 99, (1 1 2)
- d = 2.541 Å, I = 34, (0 2 0)
- d = 2.534 Å, I = 34, (1 0 -4)
- d = 2.526 Å, I = 33, (3 0 0)
- d = 1.793 Å, I = 59, (1 2 -4)
- d = 1.532 Å, I = 15, (2 3 -2)
- d = 1.530 Å, I = 28, (1 3 2)
- d = 1.526 Å, I = 28, (0 1 6)